Record 1
Diffraction record for TaNbRuPt. The XRD peak list is calculated, not measured: it uses a structure optimized by DFT (PBE) and Cu Kα X-rays.

Crystal structure
abc: 3.910 4.054 4.096
angles: 90.00 90.00 90.00
Element x y z (fractional)
Ta 0.000 0.000 0.000
Nb 0.000 0.500 0.500
Ru 0.500 0.000 0.500
Pt 0.500 0.500 0.000

Peak list (12 most intense, 10 to 80 degrees two-theta, most intense first)
| two_theta | Rel. int. |
| --- | --- |
| 38.83 | 100 |
| 44.22 | 17 |
| 44.71 | 17 |
| 46.45 | 15 |
| 77.74 | 13 |
| 78.44 | 13 |
| 64.70 | 11 |
| 66.07 | 10 |
| 66.45 | 10 |
| 21.70 | 9 |
| 31.80 | 8 |
| 55.49 | 3 |

=====

Record 2
Diffraction record for KCd12. The XRD peak list is calculated, not measured: it uses a structure optimized by DFT (PBE) and Cu Kα X-rays.

Crystal structure
abc: 7.856 7.856 7.856
angles: 98.45 98.45 134.91
Element x y z (fractional)
K 0.000 0.000 0.000
Cd 0.000 0.000 0.500
Cd 0.000 0.354 0.354
Cd 0.000 0.500 0.000
Cd 0.000 0.646 0.646
Cd 0.282 0.500 0.782
Cd 0.354 0.000 0.354
Cd 0.500 0.000 0.000
Cd 0.500 0.282 0.782
Cd 0.500 0.500 0.500
Cd 0.500 0.718 0.218
Cd 0.646 0.000 0.646
Cd 0.718 0.500 0.218

Peak list (12 most intense, 10 to 80 degrees two-theta, most intense first)
| two_theta | Rel. int. |
| --- | --- |
| 38.86 | 100 |
| 34.87 | 85 |
| 34.53 | 72 |
| 34.98 | 61 |
| 39.27 | 56 |
| 39.16 | 54 |
| 30.04 | 33 |
| 62.44 | 27 |
| 17.28 | 22 |
| 56.05 | 20 |
| 62.66 | 19 |
| 12.20 | 19 |

=====

Record 3
Diffraction record for Na2SbAuBr6. The XRD peak list is calculated, not measured: it uses a structure optimized by DFT (PBE) and Cu Kα X-rays.

Crystal structure
abc: 7.487 7.539 7.978
angles: 107.23 102.03 115.48
Element x y z (fractional)
Na 0.000 0.000 0.000
Na 0.086 0.439 0.625
Sb 0.618 0.313 0.014
Au 0.612 0.792 0.500
Br 0.017 0.396 0.240
Br 0.206 0.174 0.762
Br 0.440 0.150 0.234
Br 0.525 0.857 0.781
Br 0.710 0.738 0.224
Br 0.829 0.534 0.804

Peak list (12 most intense, 10 to 80 degrees two-theta, most intense first)
| two_theta | Rel. int. |
| --- | --- |
| 29.67 | 100 |
| 14.23 | 98 |
| 14.46 | 79 |
| 25.21 | 66 |
| 24.75 | 65 |
| 40.28 | 61 |
| 24.33 | 57 |
| 34.54 | 57 |
| 18.32 | 53 |
| 19.38 | 52 |
| 41.52 | 35 |
| 51.75 | 29 |